Entry 1:
Diffraction record for LiCaPbBr6. The powder diffraction line list is theoretical, not measured: it uses a structure optimized by DFT (PBE) and Cu Kα (λ = 1.5418 Å).
Lines closer than 0.1° are merged.

Main lines, low angle first (10° ≤ 2θ ≤ 80°):
- 2θ 14.27, rel. 29
- 2θ 19.96, rel. 61
- 2θ 28.57, rel. 100
- 2θ 31.54, rel. 16
- 2θ 32.07, rel. 19
- 2θ 37.76, rel. 57
- 2θ 40.99, rel. 22
- 2θ 43.75, rel. 40
- 2θ 49.87, rel. 20
- 2θ 53.08, rel. 16

Cell lengths 7.168, 7.168, 6.378 Å; angles 90.00, 90.00, 120.00 degrees
Fractional coordinates of all 9 atoms:
1 Li 0.000 0.000 0.000
2 Ca 0.667 0.333 0.000
3 Pb 0.333 0.667 0.500
4 Br 0.318 0.004 0.248
5 Br 0.318 0.314 0.752
6 Br 0.686 0.004 0.752
7 Br 0.686 0.682 0.248
8 Br 0.996 0.314 0.248
9 Br 0.996 0.682 0.752

=====

Entry 2:
Diffraction record for La2Pd2Pt15. The powder diffraction line list is theoretical, not measured: it uses a structure optimized by DFT (PBE) and Cu Kα (λ = 1.5418 Å).
Lines closer than 0.1° are merged.

Main lines, low angle first (10° ≤ 2θ ≤ 80°):
- 2θ 18.98, rel. 37
- 2θ 33.18, rel. 22
- 2θ 38.50, rel. 44
- 2θ 39.00, rel. 100
- 2θ 40.44, rel. 48
- 2θ 43.71, rel. 91
- 2θ 45.03, rel. 21
- 2θ 63.19, rel. 20
- 2θ 69.65, rel. 26
- 2θ 72.59, rel. 21

Cell lengths 7.004, 7.004, 7.004 Å; angles 83.78, 83.78, 83.78 degrees
Fractional coordinates of all 19 atoms:
1 La 0.163 0.163 0.163
2 La 0.837 0.837 0.837
3 Pd 0.397 0.397 0.397
4 Pd 0.603 0.603 0.603
5 Pt 0.000 0.500 0.500
6 Pt 0.154 0.154 0.661
7 Pt 0.154 0.661 0.154
8 Pt 0.192 0.500 0.808
9 Pt 0.192 0.808 0.500
10 Pt 0.339 0.846 0.846
11 Pt 0.500 0.000 0.500
12 Pt 0.500 0.192 0.808
13 Pt 0.500 0.500 0.000
14 Pt 0.500 0.808 0.192
15 Pt 0.661 0.154 0.154
16 Pt 0.808 0.192 0.500
17 Pt 0.808 0.500 0.192
18 Pt 0.846 0.339 0.846
19 Pt 0.846 0.846 0.339

=====

Entry 3:
Diffraction record for Cs2RbNiBr6. The powder diffraction line list is theoretical, not measured: it uses a structure optimized by DFT (PBE) and Cu Kα (λ = 1.5418 Å).
Lines closer than 0.1° are merged.

Main lines, low angle first (10° ≤ 2θ ≤ 80°):
- 2θ 10.55, rel. 63
- 2θ 13.25, rel. 22
- 2θ 23.06, rel. 17
- 2θ 28.77, rel. 100
- 2θ 32.02, rel. 21
- 2θ 34.32, rel. 74
- 2θ 47.12, rel. 27
- 2θ 51.47, rel. 22
- 2θ 58.11, rel. 20
- 2θ 59.58, rel. 13

Cell lengths 7.715, 7.715, 8.384 Å; angles 90.00, 90.00, 120.00 degrees
Fractional coordinates of all 10 atoms:
1 Cs 0.333 0.667 0.348
2 Cs 0.667 0.333 0.652
3 Rb 0.000 0.000 0.000
4 Ni 0.000 0.000 0.500
5 Br 0.153 0.306 0.674
6 Br 0.153 0.847 0.674
7 Br 0.306 0.153 0.326
8 Br 0.694 0.847 0.674
9 Br 0.847 0.153 0.326
10 Br 0.847 0.694 0.326

=====

Entry 4:
Diffraction record for SmTcO4. The powder diffraction line list is theoretical, not measured: it uses a structure optimized by DFT (PBE) and Cu Kα (λ = 1.5418 Å).
Lines closer than 0.1° are merged.

Main lines, low angle first (10° ≤ 2θ ≤ 80°):
- 2θ 23.61, rel. 15
- 2θ 28.62, rel. 15
- 2θ 28.84, rel. 100
- 2θ 29.09, rel. 66
- 2θ 29.72, rel. 38
- 2θ 30.51, rel. 15
- 2θ 33.01, rel. 26
- 2θ 48.16, rel. 17
- 2θ 50.34, rel. 23
- 2θ 55.62, rel. 17

Cell lengths 7.666, 5.427, 7.574 Å; angles 90.00, 100.54, 90.00 degrees
Fractional coordinates of all 24 atoms:
1 Sm 0.151 0.215 0.399
2 Sm 0.151 0.285 0.899
3 Sm 0.849 0.715 0.101
4 Sm 0.849 0.785 0.601
5 Tc 0.337 0.731 0.204
6 Tc 0.337 0.769 0.704
7 Tc 0.663 0.231 0.296
8 Tc 0.663 0.269 0.796
9 O 0.114 0.515 0.173
10 O 0.114 0.985 0.673
11 O 0.177 0.001 0.127
12 O 0.177 0.499 0.627
13 O 0.331 0.655 0.948
14 O 0.331 0.845 0.448
15 O 0.447 0.086 0.792
16 O 0.447 0.414 0.292
17 O 0.553 0.586 0.708
18 O 0.553 0.914 0.208
19 O 0.669 0.155 0.552
20 O 0.669 0.345 0.052
21 O 0.823 0.501 0.373
22 O 0.823 0.999 0.873
23 O 0.886 0.015 0.327
24 O 0.886 0.485 0.827

=====

Entry 5:
Diffraction record for K2NaCaP. The powder diffraction line list is theoretical, not measured: it uses a structure optimized by DFT (PBE) and Cu Kα (λ = 1.5418 Å).
Lines closer than 0.1° are merged.

Main lines, low angle first (10° ≤ 2θ ≤ 80°):
- 2θ 12.43, rel. 44
- 2θ 17.04, rel. 19
- 2θ 24.61, rel. 59
- 2θ 25.02, rel. 100
- 2θ 34.48, rel. 20
- 2θ 35.67, rel. 37
- 2θ 43.07, rel. 41
- 2θ 43.82, rel. 21
- 2θ 50.45, rel. 25
- 2θ 69.19, rel. 17

Cell lengths 7.119, 7.119, 5.203 Å; angles 90.00, 90.00, 90.00 degrees
Fractional coordinates of all 5 atoms:
1 K 0.000 0.500 0.000
2 K 0.500 0.000 0.000
3 Na 0.000 0.000 0.500
4 Ca 0.500 0.500 0.000
5 P 0.500 0.500 0.500

=====

Entry 6:
Diffraction record for Ce3Pu3Os2. The powder diffraction line list is theoretical, not measured: it uses a structure optimized by DFT (PBE) and Cu Kα (λ = 1.5418 Å).
Lines closer than 0.1° are merged.

Main lines, low angle first (10° ≤ 2θ ≤ 80°):
- 2θ 14.55, rel. 42
- 2θ 31.00, rel. 28
- 2θ 33.20, rel. 53
- 2θ 34.28, rel. 49
- 2θ 35.04, rel. 37
- 2θ 37.88, rel. 100
- 2θ 40.35, rel. 31
- 2θ 44.13, rel. 28
- 2θ 45.06, rel. 33
- 2θ 57.52, rel. 35

Cell lengths 6.097, 5.824, 20.551 Å; angles 90.00, 92.95, 90.00 degrees
Fractional coordinates of all 32 atoms:
1 Ce 0.095 0.154 0.063
2 Ce 0.095 0.346 0.563
3 Ce 0.099 0.133 0.368
4 Ce 0.099 0.367 0.868
5 Ce 0.237 0.631 0.272
6 Ce 0.237 0.869 0.772
7 Ce 0.763 0.131 0.228
8 Ce 0.763 0.369 0.728
9 Ce 0.901 0.633 0.132
10 Ce 0.901 0.867 0.632
11 Ce 0.905 0.654 0.437
12 Ce 0.905 0.846 0.937
13 Pu 0.202 0.125 0.238
14 Pu 0.202 0.375 0.738
15 Pu 0.345 0.631 0.436
16 Pu 0.345 0.869 0.936
17 Pu 0.373 0.643 0.037
18 Pu 0.373 0.857 0.537
19 Pu 0.627 0.143 0.463
20 Pu 0.627 0.357 0.963
21 Pu 0.655 0.131 0.064
22 Pu 0.655 0.369 0.564
23 Pu 0.798 0.625 0.262
24 Pu 0.798 0.875 0.762
25 Os 0.432 0.116 0.654
26 Os 0.432 0.384 0.154
27 Os 0.435 0.639 0.652
28 Os 0.435 0.861 0.152
29 Os 0.565 0.139 0.848
30 Os 0.565 0.361 0.348
31 Os 0.568 0.616 0.846
32 Os 0.568 0.884 0.346

=====

Entry 7:
Diffraction record for Tl12TeSe6. The powder diffraction line list is theoretical, not measured: it uses a structure optimized by DFT (PBE) and Cu Kα (λ = 1.5418 Å).
Lines closer than 0.1° are merged.

Main lines, low angle first (10° ≤ 2θ ≤ 80°):
- 2θ 19.87, rel. 26
- 2θ 25.90, rel. 100
- 2θ 30.57, rel. 32
- 2θ 30.75, rel. 46
- 2θ 30.80, rel. 22
- 2θ 34.84, rel. 44
- 2θ 34.99, rel. 34
- 2θ 38.80, rel. 42
- 2θ 40.37, rel. 17
- 2θ 48.87, rel. 16

Cell lengths 9.416, 9.416, 9.416 Å; angles 109.32, 109.32, 109.32 degrees
Fractional coordinates of all 19 atoms:
1 Tl 0.000 0.377 0.623
2 Tl 0.000 0.623 0.377
3 Tl 0.133 0.133 0.381
4 Tl 0.133 0.381 0.133
5 Tl 0.377 0.000 0.623
6 Tl 0.377 0.623 0.000
7 Tl 0.381 0.133 0.133
8 Tl 0.619 0.867 0.867
9 Tl 0.623 0.000 0.377
10 Tl 0.623 0.377 0.000
11 Tl 0.867 0.619 0.867
12 Tl 0.867 0.867 0.619
13 Te 0.500 0.500 0.500
14 Se 0.224 0.766 0.766
15 Se 0.234 0.234 0.776
16 Se 0.234 0.776 0.234
17 Se 0.766 0.224 0.766
18 Se 0.766 0.766 0.224
19 Se 0.776 0.234 0.234

=====

Entry 8:
Diffraction record for AcTb2Si. The powder diffraction line list is theoretical, not measured: it uses a structure optimized by DFT (PBE) and Cu Kα (λ = 1.5418 Å).
Lines closer than 0.1° are merged.

Main lines, low angle first (10° ≤ 2θ ≤ 80°):
- 2θ 25.52, rel. 22
- 2θ 26.10, rel. 17
- 2θ 28.35, rel. 100
- 2θ 29.91, rel. 70
- 2θ 36.01, rel. 15
- 2θ 44.62, rel. 35
- 2θ 49.22, rel. 21
- 2θ 52.17, rel. 14
- 2θ 53.72, rel. 45
- 2θ 76.62, rel. 17

Cell lengths 9.721, 9.721, 9.721 Å; angles 24.12, 24.12, 24.12 degrees
Fractional coordinates of all 4 atoms:
1 Ac 0.000 0.000 0.000
2 Tb 0.553 0.553 0.553
3 Tb 0.774 0.774 0.774
4 Si 0.163 0.163 0.163

=====

Copy entry 3 word for word.
Diffraction record for Cs2RbNiBr6. The powder diffraction line list is theoretical, not measured: it uses a structure optimized by DFT (PBE) and Cu Kα (λ = 1.5418 Å).
Lines closer than 0.1° are merged.

Main lines, low angle first (10° ≤ 2θ ≤ 80°):
- 2θ 10.55, rel. 63
- 2θ 13.25, rel. 22
- 2θ 23.06, rel. 17
- 2θ 28.77, rel. 100
- 2θ 32.02, rel. 21
- 2θ 34.32, rel. 74
- 2θ 47.12, rel. 27
- 2θ 51.47, rel. 22
- 2θ 58.11, rel. 20
- 2θ 59.58, rel. 13

Cell lengths 7.715, 7.715, 8.384 Å; angles 90.00, 90.00, 120.00 degrees
Fractional coordinates of all 10 atoms:
1 Cs 0.333 0.667 0.348
2 Cs 0.667 0.333 0.652
3 Rb 0.000 0.000 0.000
4 Ni 0.000 0.000 0.500
5 Br 0.153 0.306 0.674
6 Br 0.153 0.847 0.674
7 Br 0.306 0.153 0.326
8 Br 0.694 0.847 0.674
9 Br 0.847 0.153 0.326
10 Br 0.847 0.694 0.326